Li2MgTeO4: simulated XRD peak list (Cu Kα (λ = 1.5418 Å)), based on a structure optimized by DFT (PBE).
Peak positions follow from Bragg's law for the DFT cell and can differ from measured ones.

Largest 8 diffraction maxima, most intense first, 2θ from 15° to 90°:
d [Å], 2θ/deg, I/Imax, hkl
4.963, 17.87, 100, 1 0 1
2.984, 29.94, 44, 1 2 1
2.407, 37.36, 37, 2 2 0
4.034, 22.03, 18, 0 0 2
3.734, 23.83, 18, 0 2 0
2.473, 36.33, 18, 1 0 3
2.062, 43.91, 17, 1 2 3
1.546, 59.82, 17, 2 2 4

Atomic structure:
```
data_Li2MgTeO4
_cell_length_a 6.2959
_cell_length_b 7.4689
_cell_length_c 8.0679
_cell_angle_alpha 90.00
_cell_angle_beta 90.00
_cell_angle_gamma 90.00
_symmetry_space_group_name_H-M 'I 21 21 21'
_symmetry_Int_Tables_number 24
loop_
_symmetry_equiv_pos_as_xyz
'x,y,z'
'-x,-y+1/2,z'
'x,-y,-z+1/2'
'-x,y+1/2,-z+1/2'
'x+1/2,y+1/2,z+1/2'
'-x+1/2,-y,z+1/2'
'x+1/2,-y+1/2,-z'
'-x+1/2,y,-z'
loop_
_atom_site_label
_atom_site_fract_x
_atom_site_fract_y
_atom_site_fract_z
_atom_site_occupancy
Li1 0.0442 0.0000 0.2500 1
Li2 0.2500 0.1409 0.0000 1
Mg1 0.2500 0.2449 0.5000 1
Te1 0.0202 0.5000 0.7500 1
O1 0.0025 0.0552 0.4933 1
O2 0.2069 0.1811 0.7672 1
```